# 1
The following is a calculated powder XRD pattern of CdAg15. It was derived from a structure optimized by DFT (GGA-PBE), using copper Kα.

Largest 10 diffraction maxima, low angle first, 10° ≤ 2θ ≤ 90°:
index  2θ (°)  I_rel
1 1 11  37.37  100
1 1 12  38.54  24
0 0 22  42.73  15
2 0 0  43.76  41
2 0 22  62.82  18
2 2 0  63.61  13
2 0 23  64.40  8
1 1 33  74.70  8
3 1 11  76.15  23
2 2 22  79.68  9

```
data_CdAg15
_chemical_formula_sum 'Cd2 Ag30'
_space_group_name_H-M_alt 'P m m a'
_space_group_IT_number 51
_cell_length_a 4.137
_cell_length_b 4.138
_cell_length_c 46.551
_cell_angle_alpha 90.00
_cell_angle_beta 90.00
_cell_angle_gamma 90.00
loop_
_space_group_symop_operation_xyz
'x,y,z'
'-x,-y,-z'
'-x+1/2,-y,z'
'x+1/2,y,-z'
'x+1/2,-y,-z'
'-x+1/2,y,z'
'-x,y,-z'
'x,-y,z'
loop_
_atom_site_label
_atom_site_type_symbol
_atom_site_fract_x
_atom_site_fract_y
_atom_site_fract_z
Cd1 Cd 0.250 0.000 0.162
Ag1 Ag 0.250 0.000 0.254
Ag2 Ag 0.250 0.000 0.343
Ag3 Ag 0.250 0.000 0.433
Ag4 Ag 0.250 0.000 0.522
Ag5 Ag 0.250 0.000 0.612
Ag6 Ag 0.250 0.000 0.701
Ag7 Ag 0.250 0.000 0.791
Ag8 Ag 0.250 0.500 0.209
Ag9 Ag 0.250 0.500 0.299
Ag10 Ag 0.250 0.500 0.388
Ag11 Ag 0.250 0.500 0.478
Ag12 Ag 0.250 0.500 0.567
Ag13 Ag 0.250 0.500 0.657
Ag14 Ag 0.250 0.500 0.746
Ag15 Ag 0.250 0.500 0.836
```

***

# 2
The following is a calculated powder XRD pattern of Cd2Ag7. It was derived from a structure optimized by DFT (GGA-PBE), using copper Kα.

Largest 10 diffraction maxima, low angle first, 10° ≤ 2θ ≤ 90°:
index  2θ (°)  I_rel
0 0 9  36.47  27
1 0 3  37.08  100
0 0 10  40.67  7
0 1 6  42.91  60
1 0 12  61.88  13
1 1 0  62.71  21
1 0 13  65.74  6
1 1 9  74.77  18
0 2 3  75.15  12
2 0 6  78.99  9

```
data_Cd2Ag7
_chemical_formula_sum 'Cd2 Ag7'
_space_group_name_H-M_alt 'P -3 m 1'
_space_group_IT_number 164
_space_group_name_Hall '-P 3 2"'
_cell_length_a 2.9633
_cell_length_b 2.9633
_cell_length_c 22.1709
_cell_angle_alpha 90.00
_cell_angle_beta 90.00
_cell_angle_gamma 120.00
loop_
_atom_site_label
_atom_site_type_symbol
_atom_site_fract_x
_atom_site_fract_y
_atom_site_fract_z
Cd1 Cd 0.3333 0.6667 0.0649
Ag1 Ag 0.0000 0.0000 0.1799
Ag2 Ag 0.0000 0.0000 0.5000
Ag3 Ag 0.3333 0.6667 0.3935
Ag4 Ag 0.3333 0.6667 0.7126
```

***

# 3
The following is a calculated powder XRD pattern of CdAg17. It was derived from a structure optimized by DFT (GGA-PBE), using copper Kα.

Largest 10 diffraction maxima, low angle first, 10° ≤ 2θ ≤ 90°:
index  2θ (°)  I_rel
0 0 14  36.53  34
1 2 4  36.94  51
1 2 5  37.79  100
0 0 15  39.24  17
2 0 9  42.76  51
1 2 -10  44.35  51
1 2 19  63.03  22
3 2 0  63.51  25
3 2 14  75.55  22
2 0 24  76.26  20

```
data_CdAg17
_chemical_formula_sum 'Cd2 Ag34'
_space_group_name_H-M_alt 'P 1 21/m 1'
_space_group_IT_number 11
_cell_length_a 5.071
_cell_length_b 5.863
_cell_length_c 34.438
_cell_angle_alpha 90.00
_cell_angle_beta 90.02
_cell_angle_gamma 90.00
loop_
_space_group_symop_operation_xyz
'x,y,z'
'-x,-y,-z'
'-x,y+1/2,-z'
'x,-y+1/2,z'
loop_
_atom_site_label
_atom_site_type_symbol
_atom_site_fract_x
_atom_site_fract_y
_atom_site_fract_z
Cd1 Cd 0.167 0.250 0.283
Ag1 Ag 0.000 0.000 0.000
Ag2 Ag 0.000 0.000 0.209
Ag3 Ag 0.166 0.750 0.070
Ag4 Ag 0.166 0.750 0.279
Ag5 Ag 0.166 0.750 0.861
Ag6 Ag 0.167 0.250 0.070
Ag7 Ag 0.168 0.250 0.861
Ag8 Ag 0.333 0.001 0.721
Ag9 Ag 0.334 0.000 0.139
Ag10 Ag 0.334 0.000 0.930
Ag11 Ag 0.500 0.250 0.000
Ag12 Ag 0.500 0.250 0.209
Ag13 Ag 0.500 0.250 0.791
```

***

# 4
The following is a calculated powder XRD pattern of Cd3AgCl. It was derived from a structure optimized by DFT (GGA-PBE), using copper Kα.

Largest 10 diffraction maxima, low angle first, 10° ≤ 2θ ≤ 90°:
index  2θ (°)  I_rel
1 0 4  30.34  11
1 1 3  30.53  100
3 0 0  39.42  67
0 0 6  41.52  14
2 2 3  50.67  23
3 0 6  58.59  30
4 1 3  66.02  20
1 1 9  68.98  9
3 3 0  71.49  10
3 3 6  86.20  10

```
data_Cd3AgCl
_chemical_formula_sum 'Cd18 Ag6 Cl6'
_space_group_name_H-M_alt 'R -3 c'
_space_group_IT_number 167
_space_group_name_Hall '-R 3 2"c'
_cell_length_a 7.9182
_cell_length_b 7.9182
_cell_length_c 13.0493
_cell_angle_alpha 90.00
_cell_angle_beta 90.00
_cell_angle_gamma 120.00
loop_
_atom_site_label
_atom_site_type_symbol
_atom_site_fract_x
_atom_site_fract_y
_atom_site_fract_z
Cd1 Cd 0.0000 0.3400 0.2500
Ag1 Ag 0.0000 0.0000 0.2500
Cl1 Cl 0.0000 0.0000 0.0000
```

***

# 5
The following is a calculated powder XRD pattern of Y2ErCd3Cu2Ag. It was derived from a structure optimized by DFT (GGA-PBE), using copper Kα.

Largest 10 diffraction maxima, low angle first, 10° ≤ 2θ ≤ 90°:
index  2θ (°)  I_rel
0 2 0  13.37  14
1 0 2  32.93  100
1 4 0  35.68  88
0 1 3  35.84  45
0 6 0  40.85  41
1 4 2  43.02  24
2 0 0  47.01  23
2 1 3  60.49  19
2 6 0  64.00  20
1 1 5  66.02  33

```
data_Y2ErCd3Cu2Ag
_chemical_formula_sum 'Y4 Er2 Cd6 Cu4 Ag2'
_space_group_name_H-M_alt 'A m m 2'
_space_group_IT_number 38
_cell_length_a 3.866
_cell_length_b 13.246
_cell_length_c 7.660
_cell_angle_alpha 90.00
_cell_angle_beta 90.00
_cell_angle_gamma 90.00
loop_
_space_group_symop_operation_xyz
'x,y,z'
'-x,-y,z'
'-x,y,z'
'x,-y,z'
'x,y+1/2,z+1/2'
'-x,-y+1/2,z+1/2'
'-x,y+1/2,z+1/2'
'x,-y+1/2,z+1/2'
loop_
_atom_site_label
_atom_site_type_symbol
_atom_site_fract_x
_atom_site_fract_y
_atom_site_fract_z
Y1 Y 0.000 0.205 0.000
Er1 Er 0.000 0.000 0.615
Cd1 Cd 0.500 0.000 0.936
Cd2 Cd 0.500 0.134 0.340
Cu1 Cu 0.500 0.165 0.704
Ag1 Ag 0.000 0.000 0.206
```

***

# 6
The following is a calculated powder XRD pattern of TbHo2Cd3Cu2Ag. It was derived from a structure optimized by DFT (GGA-PBE), using copper Kα.

Largest 10 diffraction maxima, low angle first, 10° ≤ 2θ ≤ 90°:
index  2θ (°)  I_rel
1 3 1  32.97  100
1 2 2  35.72  97
0 5 1  35.81  29
0 6 0  40.80  34
2 0 0  47.16  21
1 2 4  55.33  21
2 5 1  60.60  18
2 3 3  64.09  17
1 7 3  65.99  29
1 5 5  75.84  17

```
data_TbHo2Cd3Cu2Ag
_chemical_formula_sum 'Tb2 Ho4 Cd6 Cu4 Ag2'
_space_group_name_H-M_alt 'A m m 2'
_space_group_IT_number 38
_cell_length_a 3.854
_cell_length_b 13.267
_cell_length_c 7.662
_cell_angle_alpha 90.00
_cell_angle_beta 90.00
_cell_angle_gamma 90.00
loop_
_space_group_symop_operation_xyz
'x,y,z'
'-x,-y,z'
'-x,y,z'
'x,-y,z'
'x,y+1/2,z+1/2'
'-x,-y+1/2,z+1/2'
'-x,y+1/2,z+1/2'
'x,-y+1/2,z+1/2'
loop_
_atom_site_label
_atom_site_type_symbol
_atom_site_fract_x
_atom_site_fract_y
_atom_site_fract_z
Tb1 Tb 0.000 0.000 0.000
Ho1 Ho 0.000 0.205 0.615
Cd1 Cd 0.500 0.000 0.678
Cd2 Cd 0.500 0.135 0.276
Cu1 Cu 0.500 0.167 0.910
Ag1 Ag 0.000 0.000 0.410
```